1.
Structure and computed powder diffraction line list of Li2SmInBr6 (the PBE geometry in Alexandria; CuKα).

Main lines, most intense first (2θ from 10° to 90°):
2θ = 27.78°, I 100, hkl 2 -1 3
2θ = 36.47°, I 68, hkl 2 -1 6
2θ = 16.55°, I 58, hkl 0 1 2
2θ = 29.52°, I 52, hkl 2 0 2
2θ = 42.70°, I 45, hkl 3 0 0
2θ = 22.67°, I 41, hkl 1 0 4
2θ = 47.95°, I 25, hkl 1 1 9
2θ = 33.45°, I 25, hkl 0 2 4
2θ = 41.76°, I 19, hkl 3 -1 4
2θ = 26.81°, I 18, hkl 0 0 6

Structure:
Cell lengths 7.3343, 7.3343, 19.9520 Å; angles 90.00, 90.00, 120.00 degrees
Space group R3 (No. 146, hexagonal axes)
Symmetry-distinct sites (fractional):
Li  0.0000  0.0000  0.0000 [3 per cell]
Li  0.0000  0.0000  0.4935 [3 per cell]
Sm  0.0000  0.0000  0.6883 [3 per cell]
In  0.0000  0.0000  0.2066 [3 per cell]
Br  0.0074  0.5886  0.2591 [9 per cell]
Br  0.0164  0.3347  0.0875 [9 per cell]

2.
Structure and computed powder diffraction line list of LiTbIn2Br6 (the PBE geometry in Alexandria; CuKα).

Main lines, most intense first (2θ from 10° to 90°):
2θ = 32.79°, I 100, hkl 2 2 -2
2θ = 33.20°, I 73, hkl 0 0 4
2θ = 27.37°, I 73, hkl 2 1 -1
2θ = 27.99°, I 61, hkl 0 2 2
2θ = 13.89°, I 61, hkl 0 1 1
2θ = 27.55°, I 57, hkl 1 0 -4
2θ = 41.28°, I 43, hkl 3 1 -5
2θ = 26.73°, I 42, hkl 1 2 0
2θ = 41.00°, I 41, hkl 3 1 -1
2θ = 47.54°, I 34, hkl 2 2 -6

Structure:
Cell lengths 7.560, 7.902, 13.124 Å; angles 90.00, 124.68, 90.00 degrees
Space group P2_1/c (No. 14)
Symmetry-distinct sites (fractional):
Li  0.000  0.000  0.000 [2 per cell]
Tb  0.500  0.000  0.500 [2 per cell]
In  0.222  0.078  0.744 [4 per cell]
Br  0.154  0.200  0.456 [4 per cell]
Br  0.257  0.704  0.455 [4 per cell]
Br  0.338  0.016  0.247 [4 per cell]